# BiF5
Calculated powder XRD pattern, Cu Ka. Input: the PBE geometry in the Materials Project.
Neutral-atom scattering factors, no anomalous dispersion.

Structure:
```
data_BiF5
_space_group_name_H-M_alt 'P 1 21/c 1'
_space_group_IT_number 14
_space_group_name_Hall '-P 2ybc'
_cell_length_a 5.6408
_cell_length_b 10.2819
_cell_length_c 8.3198
_cell_angle_alpha 90.00
_cell_angle_beta 111.55
_cell_angle_gamma 90.00
loop_
_atom_site_label
_atom_site_fract_x
_atom_site_fract_y
_atom_site_fract_z
_atom_site_occupancy
Bi1 0.1186 0.2481 0.4032 1
F1 0.1166 0.1858 0.6535 1
F2 0.1281 0.6036 0.2077 1
F3 0.1746 0.6306 0.6279 1
F4 0.3675 0.1101 0.0169 1
F5 0.4092 0.1251 0.4327 1
```

Most intense lines, 5° ≤ 2θ ≤ 70°, by angle:
- 16.9°, I 36.9
- 17.2°, I 62.6
- 19.0°, I 48.7
- 24.2°, I 32.9
- 24.6°, I 100.0
- 35.0°, I 28.0
- 35.3°, I 15.0
- 37.9°, I 25.5
- 43.5°, I 28.8
- 49.1°, I 20.2

# K2HgBiF6
Calculated powder XRD pattern, Cu Ka. Input: the PBE geometry in the Materials Project.
Neutral-atom scattering factors, no anomalous dispersion.

Structure:
```
data_K2HgBiF6
_space_group_name_H-M_alt 'F m -3 m'
_space_group_IT_number 225
_space_group_name_Hall '-F 4 2 3'
_cell_length_a 9.6226
_cell_length_b 9.6226
_cell_length_c 9.6226
_cell_angle_alpha 90.00
_cell_angle_beta 90.00
_cell_angle_gamma 90.00
loop_
_atom_site_label
_atom_site_fract_x
_atom_site_fract_y
_atom_site_fract_z
_atom_site_occupancy
K1 0.2500 0.2500 0.2500 1
Hg1 0.0000 0.0000 0.0000 1
Bi1 0.0000 0.0000 0.5000 1
F1 0.0000 0.0000 0.2656 1
```

Most intense lines, 5° ≤ 2θ ≤ 70°, by angle:
- 18.4°, I 73.7
- 26.2°, I 100.0
- 32.2°, I 8.2
- 37.4°, I 35.7
- 42.0°, I 38.3
- 46.2°, I 43.7
- 53.9°, I 23.5
- 57.5°, I 19.4
- 60.9°, I 20.2
- 67.4°, I 7.7

# Rb2HgBiF6
Calculated powder XRD pattern, Cu Ka. Input: the PBE geometry in the Materials Project.
Neutral-atom scattering factors, no anomalous dispersion.

Structure:
```
data_Rb2HgBiF6
_space_group_name_H-M_alt 'F m -3 m'
_space_group_IT_number 225
_space_group_name_Hall '-F 4 2 3'
_cell_length_a 9.6882
_cell_length_b 9.6882
_cell_length_c 9.6882
_cell_angle_alpha 90.00
_cell_angle_beta 90.00
_cell_angle_gamma 90.00
loop_
_atom_site_label
_atom_site_fract_x
_atom_site_fract_y
_atom_site_fract_z
_atom_site_occupancy
Rb1 0.2500 0.2500 0.2500 1
Hg1 0.0000 0.0000 0.0000 1
Bi1 0.0000 0.0000 0.5000 1
F1 0.0000 0.0000 0.2668 1
```

Most intense lines, 5° ≤ 2θ ≤ 70°, by angle:
- 18.3°, I 28.7
- 26.0°, I 100.0
- 32.0°, I 1.8
- 37.1°, I 32.9
- 41.7°, I 14.8
- 45.9°, I 44.2
- 53.5°, I 22.0
- 57.0°, I 7.4
- 60.4°, I 20.6
- 66.9°, I 7.3

# Rb2InBiF6
Calculated powder XRD pattern, Cu Ka. Input: the PBE geometry in the Materials Project.
Neutral-atom scattering factors, no anomalous dispersion.

Structure:
```
data_Rb2InBiF6
_space_group_name_H-M_alt 'F m -3 m'
_space_group_IT_number 225
_space_group_name_Hall '-F 4 2 3'
_cell_length_a 9.7517
_cell_length_b 9.7517
_cell_length_c 9.7517
_cell_angle_alpha 90.00
_cell_angle_beta 90.00
_cell_angle_gamma 90.00
loop_
_atom_site_label
_atom_site_fract_x
_atom_site_fract_y
_atom_site_fract_z
_atom_site_occupancy
Rb1 0.2500 0.2500 0.2500 1
In1 0.0000 0.0000 0.0000 1
Bi1 0.0000 0.0000 0.5000 1
F1 0.0000 0.0000 0.2663 1
```

Most intense lines, 5° ≤ 2θ ≤ 70°, by angle:
- 15.7°, I 9.8
- 18.2°, I 19.8
- 25.8°, I 100.0
- 36.9°, I 35.4
- 41.4°, I 9.8
- 45.6°, I 43.6
- 53.1°, I 23.3
- 56.6°, I 4.7
- 60.0°, I 20.2
- 66.4°, I 7.6

# K2Bi3F11
Calculated powder XRD pattern, Cu Ka. Input: the PBE geometry in the Materials Project.
Neutral-atom scattering factors, no anomalous dispersion.

Structure:
```
data_K2Bi3F11
_space_group_name_H-M_alt 'P 1'
_space_group_IT_number 1
_space_group_name_Hall 'P 1'
_cell_length_a 4.2554
_cell_length_b 4.2938
_cell_length_c 17.6578
_cell_angle_alpha 91.97
_cell_angle_beta 95.70
_cell_angle_gamma 116.59
loop_
_atom_site_label
_atom_site_fract_x
_atom_site_fract_y
_atom_site_fract_z
_atom_site_occupancy
K1 0.0000 0.0000 0.0000 1
K2 0.2951 0.8333 0.1997 1
Bi1 0.0764 0.3229 0.6010 1
Bi2 0.4921 0.2123 0.8070 1
Bi3 0.6963 0.5112 0.4025 1
F1 0.0408 0.0118 0.7017 1
F2 0.1301 0.3251 0.4287 1
F3 0.2809 0.6257 0.7923 1
F4 0.4277 0.9507 0.3650 1
F5 0.6061 0.1486 0.5155 1
F6 0.6189 0.3188 0.9344 1
F7 0.6507 0.3051 0.6635 1
F8 0.6792 0.5189 0.2809 1
F9 0.9162 0.1515 0.1302 1
F10 0.9418 0.7978 0.5532 1
F11 0.9690 0.9935 0.8484 1
```

Most intense lines, 5° ≤ 2θ ≤ 70°, by angle:
- 5.0°, I 100.0
- 23.3°, I 6.7
- 24.3°, I 15.4
- 24.5°, I 18.6
- 25.4°, I 13.9
- 26.9°, I 13.9
- 28.4°, I 7.2
- 29.6°, I 7.2
- 29.8°, I 7.4
- 48.1°, I 7.6

# KBiF4
Calculated powder XRD pattern, Cu Ka. Input: the PBE geometry in the Materials Project.
Neutral-atom scattering factors, no anomalous dispersion.

Structure:
```
data_KBiF4
_space_group_name_H-M_alt 'C 1 m 1'
_space_group_IT_number 8
_space_group_name_Hall 'C -2y'
_cell_length_a 8.0003
_cell_length_b 3.9632
_cell_length_c 14.4496
_cell_angle_alpha 90.00
_cell_angle_beta 104.36
_cell_angle_gamma 90.00
loop_
_atom_site_label
_atom_site_fract_x
_atom_site_fract_y
_atom_site_fract_z
_atom_site_occupancy
K1 0.0000 0.0000 0.0000 1
K2 0.2339 0.5000 0.2562 1
Bi1 0.0307 0.5000 0.5026 1
Bi2 0.2419 0.0000 0.7594 1
F1 0.0176 0.5000 0.7445 1
F2 0.0344 0.0000 0.1772 1
F3 0.0345 0.0000 0.4010 1
F4 0.0574 0.0000 0.5900 1
F5 0.2465 0.5000 0.6363 1
F6 0.2590 0.5000 0.4525 1
F7 0.2768 0.0000 0.9229 1
F8 0.3754 0.5000 0.8199 1
```

Most intense lines, 5° ≤ 2θ ≤ 70°, by angle:
- 6.3°, I 100.0
- 19.0°, I 9.0
- 22.2°, I 9.2
- 23.3°, I 17.4
- 25.5°, I 13.1
- 26.7°, I 24.6
- 29.0°, I 7.9
- 30.0°, I 15.3
- 40.8°, I 8.5
- 43.5°, I 11.7

# K3BiF6
Calculated powder XRD pattern, Cu Ka. Input: the PBE geometry in the Materials Project.
Neutral-atom scattering factors, no anomalous dispersion.

Structure:
```
data_K3BiF6
_space_group_name_H-M_alt 'F m -3 m'
_space_group_IT_number 225
_space_group_name_Hall '-F 4 2 3'
_cell_length_a 9.5929
_cell_length_b 9.5929
_cell_length_c 9.5929
_cell_angle_alpha 90.00
_cell_angle_beta 90.00
_cell_angle_gamma 90.00
loop_
_atom_site_label
_atom_site_fract_x
_atom_site_fract_y
_atom_site_fract_z
_atom_site_occupancy
K1 0.0000 0.0000 0.0000 1
K2 0.2500 0.2500 0.2500 1
Bi1 0.0000 0.0000 0.5000 1
F1 0.0000 0.0000 0.2638 1
```

Most intense lines, 5° ≤ 2θ ≤ 70°, by angle:
- 16.0°, I 73.6
- 18.5°, I 56.7
- 26.3°, I 100.0
- 30.9°, I 40.6
- 37.5°, I 45.6
- 42.1°, I 28.3
- 46.4°, I 42.0
- 49.4°, I 18.7
- 54.1°, I 28.7
- 61.1°, I 19.3

# KBiF4
Calculated powder XRD pattern, Cu Ka. Input: the PBE geometry in the Materials Project.
Neutral-atom scattering factors, no anomalous dispersion.

Structure:
a = 11.8451 Å, b = 11.8451 Å, c = 11.8451 Å
α = 90.00°, β = 90.00°, γ = 90.00°
Space group Fd-3m (No. 227, origin choice 2)
Symmetry-distinct sites (fractional):
K (0.0000, 0.0000, 0.0000) (multiplicity 16)
Bi (0.0000, 0.0000, 0.5000) (multiplicity 16)
F (0.0932, 0.3750, 0.8750) (multiplicity 48)
F (0.1250, 0.1250, 0.1250) (multiplicity 8)
F (0.1250, 0.1250, 0.6250) (multiplicity 8)

Most intense lines, 5° ≤ 2θ ≤ 70°, by angle:
- 12.9°, I 64.1
- 24.9°, I 38.3
- 26.1°, I 100.0
- 30.2°, I 25.0
- 33.0°, I 13.0
- 39.5°, I 13.7
- 43.2°, I 61.7
- 45.3°, I 18.6
- 51.2°, I 47.7
- 69.1°, I 19.5

# K2BiF5
Calculated powder XRD pattern, Cu Ka. Input: the PBE geometry in the Materials Project.
Neutral-atom scattering factors, no anomalous dispersion.

Structure:
```
data_K2BiF5
_space_group_name_H-M_alt 'P n m a'
_space_group_IT_number 62
_space_group_name_Hall '-P 2ac 2n'
_cell_length_a 11.6112
_cell_length_b 7.5671
_cell_length_c 6.7098
_cell_angle_alpha 90.00
_cell_angle_beta 90.00
_cell_angle_gamma 90.00
loop_
_atom_site_label
_atom_site_fract_x
_atom_site_fract_y
_atom_site_fract_z
_atom_site_occupancy
K1 0.1693 0.0011 0.0072 1
Bi1 0.0450 0.2500 0.5624 1
F1 0.0114 0.7500 0.1091 1
F2 0.0929 0.5454 0.6121 1
F3 0.1705 0.2500 0.3082 1
F4 0.2154 0.2500 0.7249 1
```

Most intense lines, 5° ≤ 2θ ≤ 70°, by angle:
- 15.3°, I 100.0
- 17.7°, I 16.1
- 19.3°, I 40.0
- 23.5°, I 23.1
- 26.6°, I 44.7
- 28.1°, I 80.2
- 29.1°, I 24.3
- 39.1°, I 31.4
- 42.9°, I 31.8
- 45.0°, I 25.5

# K2LiBiF6
Calculated powder XRD pattern, Cu Ka. Input: the PBE geometry in the Materials Project.
Neutral-atom scattering factors, no anomalous dispersion.

Structure:
```
data_K2LiBiF6
_space_group_name_H-M_alt 'F m -3 m'
_space_group_IT_number 225
_space_group_name_Hall '-F 4 2 3'
_cell_length_a 8.7212
_cell_length_b 8.7212
_cell_length_c 8.7212
_cell_angle_alpha 90.00
_cell_angle_beta 90.00
_cell_angle_gamma 90.00
loop_
_atom_site_label
_atom_site_fract_x
_atom_site_fract_y
_atom_site_fract_z
_atom_site_occupancy
K1 0.2500 0.2500 0.2500 1
Li1 0.0000 0.0000 0.0000 1
Bi1 0.0000 0.0000 0.5000 1
F1 0.0000 0.0000 0.2402 1
```

Most intense lines, 5° ≤ 2θ ≤ 70°, by angle:
- 17.6°, I 100.0
- 20.4°, I 41.3
- 29.0°, I 81.2
- 34.1°, I 68.6
- 41.4°, I 39.5
- 45.3°, I 34.5
- 51.3°, I 33.6
- 54.7°, I 22.7
- 60.0°, I 24.0
- 63.1°, I 22.4

# K2NaBiF6
Calculated powder XRD pattern, Cu Ka. Input: the PBE geometry in the Materials Project.
Neutral-atom scattering factors, no anomalous dispersion.

Structure:
```
data_K2NaBiF6
_space_group_name_H-M_alt 'F m -3 m'
_space_group_IT_number 225
_space_group_name_Hall '-F 4 2 3'
_cell_length_a 9.0819
_cell_length_b 9.0819
_cell_length_c 9.0819
_cell_angle_alpha 90.00
_cell_angle_beta 90.00
_cell_angle_gamma 90.00
loop_
_atom_site_label
_atom_site_fract_x
_atom_site_fract_y
_atom_site_fract_z
_atom_site_occupancy
K1 0.2500 0.2500 0.2500 1
Na1 0.0000 0.0000 0.0000 1
Bi1 0.0000 0.0000 0.5000 1
F1 0.0000 0.0000 0.2507 1
```

Most intense lines, 5° ≤ 2θ ≤ 70°, by angle:
- 16.9°, I 93.2
- 19.5°, I 54.1
- 27.8°, I 100.0
- 32.7°, I 58.2
- 39.7°, I 47.5
- 43.4°, I 27.3
- 44.6°, I 27.7
- 49.1°, I 42.2
- 52.3°, I 21.8
- 57.4°, I 29.5

# K2RbBiF6
Calculated powder XRD pattern, Cu Ka. Input: the PBE geometry in the Materials Project.
Neutral-atom scattering factors, no anomalous dispersion.

Structure:
```
data_K2RbBiF6
_space_group_name_H-M_alt 'F m -3 m'
_space_group_IT_number 225
_space_group_name_Hall '-F 4 2 3'
_cell_length_a 9.8418
_cell_length_b 9.8418
_cell_length_c 9.8418
_cell_angle_alpha 90.00
_cell_angle_beta 90.00
_cell_angle_gamma 90.00
loop_
_atom_site_label
_atom_site_fract_x
_atom_site_fract_y
_atom_site_fract_z
_atom_site_occupancy
K1 0.2500 0.2500 0.2500 1
Rb1 0.0000 0.0000 0.0000 1
Bi1 0.0000 0.0000 0.5000 1
F1 0.0000 0.0000 0.2697 1
```

Most intense lines, 5° ≤ 2θ ≤ 70°, by angle:
- 15.6°, I 32.0
- 18.0°, I 62.5
- 25.6°, I 100.0
- 30.1°, I 15.1
- 36.5°, I 41.4
- 41.0°, I 31.6
- 45.1°, I 42.5
- 52.6°, I 26.6
- 56.1°, I 16.0
- 59.4°, I 20.4